[1]
Starting from DFT lattice parameters and positions (PBE+U), the powder diffraction line list of SrLaCoRuO6 was computed for Cu Kα X-rays.
Intensities are scaled so that the largest is 1000.

a = 5.6507 Å, b = 5.6597 Å, c = 9.7364 Å
α = 90.00°, β = 125.34°, γ = 90.00°
Space group Pc (No. 7)
Inequivalent atoms, fractional coordinates:
Sr: 0.0000 0.2194 0.0000 (multiplicity 2)
La: 0.4820 0.2888 0.4974 (multiplicity 2)
Co: 0.2442 0.2473 0.7494 (multiplicity 2)
Ru: 0.7444 0.2500 0.2493 (multiplicity 2)
O: 0.0673 0.0440 0.2908 (multiplicity 2)
O: 0.4356 0.4667 0.2130 (multiplicity 2)
O: 0.4995 0.0332 0.7079 (multiplicity 2)
O: 0.5636 0.2689 0.0046 (multiplicity 2)
O: 0.9060 0.2387 0.4943 (multiplicity 2)
O: 0.9979 0.4782 0.7874 (multiplicity 2)

Main lines, sorted by position (2θ from 10° to 90°):
d (Å)	2theta	intensity	index
4.606	19.27	124	1 0 -2
2.828	31.64	483	2 0 -2
2.818	31.76	1000	1 1 -3
1.999	45.36	281	2 2 -2
1.986	45.69	149	0 0 4
1.631	56.40	273	3 1 -1
1.628	56.54	162	3 1 -5
1.625	56.63	102	0 2 4

[2]
Starting from DFT lattice parameters and positions (PBE+U), the powder diffraction line list of La2Co2Se2O3 was computed for Cu Kα X-rays.
Intensities are scaled so that the largest is 1000.

a = 4.0995 Å, b = 4.0995 Å, c = 18.5711 Å
α = 90.00°, β = 90.00°, γ = 90.00°
Space group I4/mmm (No. 139)
Inequivalent atoms, fractional coordinates:
La: 0.0000 0.0000 0.1842 (multiplicity 4)
Co: 0.0000 0.5000 0.0000 (multiplicity 4)
Se: 0.0000 0.0000 0.4045 (multiplicity 4)
O: 0.0000 0.0000 0.0000 (multiplicity 2)
O: 0.0000 0.5000 0.2500 (multiplicity 4)

Main lines, sorted by position (2θ from 10° to 90°):
d (Å)	2theta	intensity	index
3.418	26.07	428	1 0 3
2.899	30.85	281	1 1 0
2.767	32.35	238	1 1 2
2.753	32.53	1000	1 0 5
2.459	36.54	333	1 1 4
2.050	44.18	446	2 0 0
1.812	50.36	258	1 1 8
1.644	55.93	414	2 1 5